Record 1
Structure and computed powder diffractogram of Pr2NdTm6 (a DFT-relaxed cell (GGA-PBE, Alexandria); copper Kα).
Lines closer than 0.1° are merged.

Largest 8 diffraction maxima, in order of falling intensity, 2θ from 10° to 90°:
2.802 Å, 31.9 deg, I 100.0, hkl 3 0 0; 2.856 Å, 31.3 deg, I 84.7, hkl 1 1 1; 1.628 Å, 56.5 deg, I 28.5, hkl 1 4 1; 2.000 Å, 45.3 deg, I 28.1, hkl 4 -2 1; 1.494 Å, 62.1 deg, I 17.7, hkl 3 0 2; 1.618 Å, 56.9 deg, I 17.2, hkl 3 3 0; 2.704 Å, 33.1 deg, I 14.7, hkl 0 2 1; 2.362 Å, 38.1 deg, I 13.3, hkl 3 -1 1

Structure:
```
data_Pr2NdTm6
_cell_length_a 9.7067
_cell_length_b 9.7067
_cell_length_c 3.5324
_cell_angle_alpha 90.00
_cell_angle_beta 90.00
_cell_angle_gamma 120.00
_symmetry_space_group_name_H-M 'P -3'
_symmetry_Int_Tables_number 147
loop_
_symmetry_equiv_pos_as_xyz
'x,y,z'
'-x,-y,-z'
'-y,x-y,z'
'y,-x+y,-z'
'-x+y,-x,z'
'x-y,x,-z'
loop_
_atom_site_label
_atom_site_fract_x
_atom_site_fract_y
_atom_site_fract_z
_atom_site_occupancy
Pr1 0.3333 0.6667 0.2623 1
Nd1 0.0000 0.0000 0.5000 1
Tm1 0.0215 0.6718 0.7697 1
```



Record 2
Structure and computed powder diffractogram of Pr3Nd2Tm4 (a DFT-relaxed cell (GGA-PBE, Alexandria); copper Kα).
Lines closer than 0.1° are merged.

Largest 8 diffraction maxima, in order of falling intensity, 2θ from 10° to 90°:
2.956 Å, 30.2 deg, I 100.0, hkl 0 4 0; 2.817 Å, 31.8 deg, I 89.4, hkl 4 2 1; 2.984 Å, 29.9 deg, I 52.0, hkl 1 1 -2; 2.429 Å, 37.0 deg, I 29.7, hkl 1 3 -2; 2.414 Å, 37.2 deg, I 27.0, hkl 5 3 -1; 1.676 Å, 54.8 deg, I 17.5, hkl 6 2 -3; 1.678 Å, 54.7 deg, I 17.5, hkl 4 6 1; 1.870 Å, 48.7 deg, I 12.7, hkl 5 5 -1

Structure:
```
data_Pr3Nd2Tm4
_cell_length_a 16.468
_cell_length_b 11.822
_cell_length_c 6.177
_cell_angle_alpha 90.00
_cell_angle_beta 97.66
_cell_angle_gamma 90.00
_symmetry_space_group_name_H-M 'C 1 2/c 1'
_symmetry_Int_Tables_number 15
loop_
_symmetry_equiv_pos_as_xyz
'x,y,z'
'-x,-y,-z'
'-x,y,-z+1/2'
'x,-y,z+1/2'
'x+1/2,y+1/2,z'
'-x+1/2,-y+1/2,-z'
'-x+1/2,y+1/2,-z+1/2'
'x+1/2,-y+1/2,z+1/2'
loop_
_atom_site_label
_atom_site_fract_x
_atom_site_fract_y
_atom_site_fract_z
_atom_site_occupancy
Pr1 0.000 0.129 0.250 1
Pr2 0.162 0.357 0.093 1
Nd1 0.114 0.131 0.787 1
Tm1 0.057 0.385 0.540 1
Tm2 0.232 0.117 0.360 1
```



Record 3
Structure and computed powder diffractogram of Pr3Nd2Tm7 (a DFT-relaxed cell (GGA-PBE, Alexandria); copper Kα).
Lines closer than 0.1° are merged.

Largest 8 diffraction maxima, in order of falling intensity, 2θ from 10° to 90°:
2.862 Å, 31.3 deg, I 100.0, hkl 1 1 2; 2.907 Å, 30.8 deg, I 95.5, hkl 0 0 6; 2.914 Å, 30.7 deg, I 87.2, hkl 2 0 -3; 2.586 Å, 34.7 deg, I 70.3, hkl 1 1 -4; 2.656 Å, 33.8 deg, I 64.9, hkl 2 0 3; 3.012 Å, 29.7 deg, I 53.7, hkl 1 1 1; 1.511 Å, 61.3 deg, I 51.5, hkl 0 2 6; 1.739 Å, 52.6 deg, I 42.8, hkl 2 0 -9

Structure:
```
data_Pr3Nd2Tm7
_cell_length_a 6.357
_cell_length_b 3.537
_cell_length_c 17.552
_cell_angle_alpha 90.00
_cell_angle_beta 96.34
_cell_angle_gamma 90.00
_symmetry_space_group_name_H-M 'P 1 2/m 1'
_symmetry_Int_Tables_number 10
loop_
_symmetry_equiv_pos_as_xyz
'x,y,z'
'-x,-y,-z'
'-x,y,-z'
'x,-y,z'
loop_
_atom_site_label
_atom_site_fract_x
_atom_site_fract_y
_atom_site_fract_z
_atom_site_occupancy
Pr1 0.000 0.000 0.000 1
Pr2 0.044 0.500 0.659 1
Nd1 0.448 0.000 0.325 1
Tm1 0.229 0.500 0.163 1
Tm2 0.246 0.000 0.499 1
Tm3 0.275 0.000 0.836 1
Tm4 0.500 0.500 0.000 1
```



Record 4
Structure and computed powder diffractogram of Pr3Nd2Tm8 (a DFT-relaxed cell (GGA-PBE, Alexandria); copper Kα).
Lines closer than 0.1° are merged.

Largest 8 diffraction maxima, in order of falling intensity, 2θ from 10° to 90°:
2.523 Å, 35.6 deg, I 100.0, hkl 2 -1 0; 2.913 Å, 30.7 deg, I 98.7, hkl 2 1 1; 2.924 Å, 30.6 deg, I 50.0, hkl 0 2 1; 2.904 Å, 30.8 deg, I 48.9, hkl 1 0 -3; 1.785 Å, 51.2 deg, I 35.7, hkl 1 -3 2; 1.521 Å, 60.9 deg, I 28.2, hkl 4 0 1; 1.780 Å, 51.3 deg, I 23.6, hkl 3 1 -2; 1.519 Å, 61.0 deg, I 21.1, hkl 0 3 -5

Structure:
```
data_Pr3Nd2Tm8
_cell_length_a 6.178
_cell_length_b 6.200
_cell_length_c 11.263
_cell_angle_alpha 89.76
_cell_angle_beta 79.27
_cell_angle_gamma 80.31
_symmetry_space_group_name_H-M 'P -1'
_symmetry_Int_Tables_number 2
loop_
_symmetry_equiv_pos_as_xyz
'x,y,z'
'-x,-y,-z'
loop_
_atom_site_label
_atom_site_fract_x
_atom_site_fract_y
_atom_site_fract_z
_atom_site_occupancy
Pr1 0.000 0.000 0.000 1
Pr2 0.231 0.462 0.079 1
Nd1 0.384 0.769 0.462 1
Tm1 0.077 0.153 0.691 1
Tm2 0.153 0.307 0.385 1
Tm3 0.308 0.614 0.766 1
Tm4 0.464 0.925 0.157 1
```



Record 5
Structure and computed powder diffractogram of Pr2Nd7Tm2 (a DFT-relaxed cell (GGA-PBE, Alexandria); copper Kα).
Lines closer than 0.1° are merged.

Largest 8 diffraction maxima, in order of falling intensity, 2θ from 10° to 90°:
2.917 Å, 30.6 deg, I 100.0, hkl 1 5 0; 3.024 Å, 29.5 deg, I 84.1, hkl 1 3 -3; 2.941 Å, 30.4 deg, I 83.1, hkl 3 1 -1; 2.840 Å, 31.5 deg, I 78.6, hkl 2 2 2; 2.759 Å, 32.5 deg, I 76.4, hkl 2 4 -2; 3.311 Å, 26.9 deg, I 45.6, hkl 0 2 3; 3.047 Å, 29.3 deg, I 35.7, hkl 1 1 3; 2.834 Å, 31.6 deg, I 33.4, hkl 3 1 -2

Structure:
```
data_Pr2Nd7Tm2
_cell_length_a 8.987
_cell_length_b 15.476
_cell_length_c 11.364
_cell_angle_alpha 90.00
_cell_angle_beta 104.71
_cell_angle_gamma 90.00
_symmetry_space_group_name_H-M 'C 1 2/c 1'
_symmetry_Int_Tables_number 15
loop_
_symmetry_equiv_pos_as_xyz
'x,y,z'
'-x,-y,-z'
'-x,y,-z+1/2'
'x,-y,z+1/2'
'x+1/2,y+1/2,z'
'-x+1/2,-y+1/2,-z'
'-x+1/2,y+1/2,-z+1/2'
'x+1/2,-y+1/2,z+1/2'
loop_
_atom_site_label
_atom_site_fract_x
_atom_site_fract_y
_atom_site_fract_z
_atom_site_occupancy
Pr1 0.213 0.131 0.485 1
Nd1 0.000 0.084 0.750 1
Nd2 0.051 0.287 0.926 1
Nd3 0.085 0.475 0.137 1
Nd4 0.164 0.072 0.089 1
Tm1 0.182 0.270 0.241 1
```



Record 6
Structure and computed powder diffractogram of Pr5NdTm4 (a DFT-relaxed cell (GGA-PBE, Alexandria); copper Kα).
Lines closer than 0.1° are merged.

Largest 8 diffraction maxima, in order of falling intensity, 2θ from 10° to 90°:
2.765 Å, 32.4 deg, I 100.0, hkl 0 1 4; 2.944 Å, 30.4 deg, I 70.9, hkl 0 3 2; 2.830 Å, 31.6 deg, I 56.1, hkl 0 2 -2; 2.807 Å, 31.9 deg, I 53.4, hkl -1 1 2; 3.110 Å, 28.7 deg, I 38.8, hkl 1 0 2; 2.748 Å, 32.6 deg, I 19.6, hkl 1 1 3; 2.188 Å, 41.3 deg, I 18.9, hkl 1 -3 0; 1.842 Å, 49.5 deg, I 18.8, hkl 1 1 -4

Structure:
```
data_Pr5NdTm4
_cell_length_a 3.609
_cell_length_b 9.042
_cell_length_c 11.157
_cell_angle_alpha 69.31
_cell_angle_beta 82.71
_cell_angle_gamma 86.11
_symmetry_space_group_name_H-M 'P -1'
_symmetry_Int_Tables_number 2
loop_
_symmetry_equiv_pos_as_xyz
'x,y,z'
'-x,-y,-z'
loop_
_atom_site_label
_atom_site_fract_x
_atom_site_fract_y
_atom_site_fract_z
_atom_site_occupancy
Pr1 0.000 0.000 0.000 1
Pr2 0.319 0.384 0.923 1
Pr3 0.498 0.214 0.677 1
Nd1 0.000 0.000 0.500 1
Tm1 0.072 0.417 0.377 1
Tm2 0.347 0.795 0.781 1
```